1.
Theoretical X-ray diffraction stick pattern
Compound: AlPO4
Radiation: Cu Kα
Structure: a GGA-PBE-relaxed structure
Neutral-atom scattering factors, no anomalous dispersion.

Principal peaks in the range 10 to 90 degrees two-theta, in order of rising 2θ:
- 14.5 deg, d = 6.115 Å, intensity 99
- 18.2 deg, d = 4.867 Å, intensity 40
- 20.3 deg, d = 4.368 Å, intensity 100
- 21.7 deg, d = 4.104 Å, intensity 43
- 21.8 deg, d = 4.079 Å, intensity 65
- 24.4 deg, d = 3.644 Å, intensity 47
- 25.1 deg, d = 3.554 Å, intensity 14
- 29.8 deg, d = 2.999 Å, intensity 30
- 36.4 deg, d = 2.470 Å, intensity 15
- 56.3 deg, d = 1.635 Å, intensity 18

Crystal structure
```
AlPO4
1.0
9.734 0.000 0.000
0.000 7.858 4.368
0.000 -7.858 4.368
Al P O
6 6 24
direct
0.152 0.096 0.904
0.152 0.404 0.596
0.344 0.749 0.249
0.656 0.249 0.749
0.848 0.596 0.404
0.848 0.904 0.096
0.156 0.030 0.220
0.156 0.720 0.530
0.342 0.376 0.876
0.658 0.876 0.376
0.844 0.220 0.030
0.844 0.530 0.720
0.013 0.690 0.444
0.013 0.944 0.190
0.156 0.204 0.397
0.156 0.897 0.704
0.193 0.063 0.074
0.193 0.574 0.563
0.264 0.722 0.407
0.264 0.907 0.222
0.268 0.240 0.901
0.268 0.401 0.740
0.347 0.550 0.050
0.487 0.310 0.810
0.513 0.810 0.310
0.653 0.050 0.550
0.732 0.740 0.401
0.732 0.901 0.240
0.736 0.222 0.907
0.736 0.407 0.722
0.807 0.074 0.063
0.807 0.563 0.574
0.844 0.397 0.204
0.844 0.704 0.897
0.987 0.190 0.944
0.987 0.444 0.690
```


2.
Theoretical X-ray diffraction stick pattern
Compound: Sr5Mg
Radiation: Cu Kα
Structure: a GGA-PBE-relaxed structure
Neutral-atom scattering factors, no anomalous dispersion.

Principal peaks in the range 10 to 90 degrees two-theta, in order of rising 2θ:
- 26.3 deg, d = 3.385 Å, intensity 53
- 27.3 deg, d = 3.271 Å, intensity 41
- 27.5 deg, d = 3.249 Å, intensity 100
- 28.0 deg, d = 3.184 Å, intensity 91
- 37.4 deg, d = 2.405 Å, intensity 16
- 41.0 deg, d = 2.203 Å, intensity 19
- 46.8 deg, d = 1.941 Å, intensity 17
- 47.9 deg, d = 1.899 Å, intensity 27
- 49.3 deg, d = 1.847 Å, intensity 18
- 49.9 deg, d = 1.827 Å, intensity 15

Crystal structure
```
Sr5Mg
1.0
7.501 -2.203 0.000
7.501 2.203 0.000
-2.527 0.000 8.866
Sr Mg
5 1
direct
0.000 0.000 0.000
0.003 0.003 0.427
0.291 0.291 0.136
0.328 0.328 0.613
0.648 0.648 0.772
0.666 0.666 0.324
```


3.
Theoretical X-ray diffraction stick pattern
Compound: Ce2Co17H3
Radiation: Cu Kα
Structure: a GGA-PBE-relaxed structure
Neutral-atom scattering factors, no anomalous dispersion.

Principal peaks in the range 10 to 90 degrees two-theta, in order of rising 2θ:
- 30.7 deg, d = 2.910 Å, intensity 38
- 37.0 deg, d = 2.428 Å, intensity 38
- 41.8 deg, d = 2.163 Å, intensity 49
- 43.0 deg, d = 2.103 Å, intensity 72
- 43.5 deg, d = 2.080 Å, intensity 100
- 45.0 deg, d = 2.016 Å, intensity 33
- 47.3 deg, d = 1.923 Å, intensity 17
- 48.8 deg, d = 1.865 Å, intensity 26
- 62.8 deg, d = 1.479 Å, intensity 20
- 81.9 deg, d = 1.176 Å, intensity 23

Crystal structure
```
Ce2Co17H3
1.0
8.412 0.000 0.000
-4.206 7.285 0.000
0.000 0.000 8.062
Ce Co H
4 34 6
direct
0.000 0.000 0.250
0.000 0.000 0.750
0.333 0.667 0.250
0.667 0.333 0.750
0.000 0.500 0.000
0.000 0.500 0.500
0.053 0.381 0.750
0.053 0.672 0.750
0.168 0.337 0.025
0.168 0.337 0.475
0.168 0.832 0.025
0.168 0.832 0.475
0.328 0.381 0.750
0.328 0.947 0.750
0.333 0.667 0.606
0.333 0.667 0.894
0.337 0.168 0.525
0.337 0.168 0.975
0.381 0.053 0.250
0.381 0.328 0.250
0.500 0.000 0.000
0.500 0.000 0.500
0.500 0.500 0.000
0.500 0.500 0.500
0.619 0.672 0.750
0.619 0.947 0.750
0.663 0.832 0.025
0.663 0.832 0.475
0.667 0.333 0.106
0.667 0.333 0.394
0.672 0.053 0.250
0.672 0.619 0.250
0.832 0.168 0.525
0.832 0.168 0.975
0.832 0.663 0.525
0.832 0.663 0.975
0.947 0.328 0.250
0.947 0.619 0.250
0.165 0.330 0.250
0.165 0.835 0.250
0.330 0.165 0.750
0.670 0.835 0.250
0.835 0.165 0.750
0.835 0.670 0.750
```


4.
Theoretical X-ray diffraction stick pattern
Compound: Hf5Ir3
Radiation: Cu Kα
Structure: a GGA-PBE-relaxed structure
Neutral-atom scattering factors, no anomalous dispersion.

Principal peaks in the range 10 to 90 degrees two-theta, in order of rising 2θ:
- 31.5 deg, d = 2.839 Å, intensity 14
- 34.2 deg, d = 2.623 Å, intensity 15
- 34.6 deg, d = 2.592 Å, intensity 25
- 36.2 deg, d = 2.480 Å, intensity 11
- 38.2 deg, d = 2.358 Å, intensity 100
- 39.0 deg, d = 2.307 Å, intensity 55
- 39.4 deg, d = 2.286 Å, intensity 27
- 44.6 deg, d = 2.034 Å, intensity 10
- 50.6 deg, d = 1.804 Å, intensity 11
- 60.6 deg, d = 1.529 Å, intensity 16

Crystal structure
```
Hf5Ir3
1.0
7.919 0.000 0.000
-3.960 6.858 0.000
0.000 0.000 17.035
Hf Ir
30 18
direct
0.000 0.245 0.333
0.000 0.755 0.833
0.007 0.237 0.993
0.007 0.770 0.174
0.230 0.237 0.507
0.230 0.993 0.660
0.237 0.007 0.340
0.237 0.230 0.826
0.245 0.000 0.000
0.245 0.245 0.167
0.250 0.625 0.583
0.308 0.654 0.083
0.346 0.654 0.417
0.346 0.692 0.750
0.375 0.625 0.917
0.375 0.750 0.250
0.625 0.250 0.750
0.625 0.375 0.417
0.654 0.308 0.250
0.654 0.346 0.917
0.692 0.346 0.583
0.750 0.375 0.083
0.755 0.000 0.500
0.755 0.755 0.667
0.763 0.770 0.326
0.763 0.993 0.840
0.770 0.007 0.160
0.770 0.763 0.007
0.993 0.230 0.674
0.993 0.763 0.493
0.000 0.385 0.833
0.000 0.615 0.333
0.021 0.414 0.190
0.021 0.607 0.977
0.385 0.000 0.500
0.385 0.385 0.667
0.393 0.414 0.310
0.393 0.979 0.856
0.414 0.021 0.144
0.414 0.393 0.023
0.586 0.607 0.523
0.586 0.979 0.644
0.607 0.021 0.356
0.607 0.586 0.810
0.615 0.000 0.000
0.615 0.615 0.167
0.979 0.393 0.477
0.979 0.586 0.690
```


5.
Theoretical X-ray diffraction stick pattern
Compound: IO2
Radiation: Cu Kα
Structure: a GGA-PBE-relaxed structure
Neutral-atom scattering factors, no anomalous dispersion.

Principal peaks in the range 10 to 90 degrees two-theta, in order of rising 2θ:
- 17.6 deg, d = 5.044 Å, intensity 28
- 24.5 deg, d = 3.630 Å, intensity 35
- 25.3 deg, d = 3.518 Å, intensity 45
- 27.2 deg, d = 3.281 Å, intensity 70
- 27.7 deg, d = 3.224 Å, intensity 60
- 28.1 deg, d = 3.170 Å, intensity 46
- 28.4 deg, d = 3.139 Å, intensity 100
- 33.4 deg, d = 2.680 Å, intensity 23
- 40.5 deg, d = 2.225 Å, intensity 38
- 57.0 deg, d = 1.615 Å, intensity 23

Crystal structure
```
IO2
1.0
8.148 0.000 0.000
0.000 7.012 0.000
-3.783 0.000 7.426
I O
8 16
direct
0.141 0.121 0.316
0.141 0.379 0.816
0.305 0.742 0.148
0.305 0.758 0.648
0.695 0.242 0.352
0.695 0.258 0.852
0.859 0.621 0.184
0.859 0.879 0.684
0.053 0.744 0.512
0.053 0.756 0.012
0.301 0.044 0.562
0.301 0.456 0.062
0.306 0.039 0.220
0.306 0.461 0.720
0.311 0.652 0.354
0.311 0.848 0.854
0.689 0.152 0.146
0.689 0.348 0.646
0.694 0.539 0.280
0.694 0.961 0.780
0.699 0.544 0.938
0.699 0.956 0.438
0.947 0.244 0.988
0.947 0.256 0.488
```


6.
Theoretical X-ray diffraction stick pattern
Compound: Tl2Mo9S11
Radiation: Cu Kα
Structure: a GGA-PBE-relaxed structure
Neutral-atom scattering factors, no anomalous dispersion.

Principal peaks in the range 10 to 90 degrees two-theta, in order of rising 2θ:
- 11.9 deg, d = 7.420 Å, intensity 57
- 14.7 deg, d = 6.032 Å, intensity 45
- 18.9 deg, d = 4.705 Å, intensity 100
- 22.4 deg, d = 3.973 Å, intensity 38
- 22.6 deg, d = 3.930 Å, intensity 77
- 29.4 deg, d = 3.036 Å, intensity 89
- 34.0 deg, d = 2.640 Å, intensity 38
- 40.2 deg, d = 2.242 Å, intensity 47
- 41.8 deg, d = 2.163 Å, intensity 45
- 44.7 deg, d = 2.026 Å, intensity 81

Crystal structure
```
Tl2Mo9S11
1.0
4.705 2.716 11.964
-4.705 2.716 11.964
0.000 -5.432 11.964
Tl Mo S
4 18 22
direct
0.053 0.053 0.053
0.447 0.447 0.447
0.553 0.553 0.553
0.947 0.947 0.947
0.027 0.356 0.177
0.083 0.250 0.417
0.144 0.473 0.323
0.177 0.027 0.356
0.250 0.417 0.083
0.323 0.144 0.473
0.356 0.177 0.027
0.417 0.083 0.250
0.473 0.323 0.144
0.527 0.677 0.856
0.583 0.917 0.750
0.644 0.823 0.973
0.677 0.856 0.527
0.750 0.583 0.917
0.823 0.973 0.644
0.856 0.527 0.677
0.917 0.750 0.583
0.973 0.644 0.823
0.019 0.284 0.621
0.054 0.446 0.750
0.121 0.784 0.519
0.135 0.135 0.135
0.216 0.481 0.879
0.250 0.946 0.554
0.284 0.621 0.019
0.365 0.365 0.365
0.379 0.981 0.716
0.446 0.750 0.054
0.481 0.879 0.216
0.519 0.121 0.784
0.554 0.250 0.946
0.621 0.019 0.284
0.635 0.635 0.635
0.716 0.379 0.981
0.750 0.054 0.446
0.784 0.519 0.121
0.865 0.865 0.865
0.879 0.216 0.481
0.946 0.554 0.250
0.981 0.716 0.379
```